This entry pairs a crystal structure of Sr2La2CrNiO8 with its theoretical powder diffraction line list. Radiation: Cu Kα (λ = 1.5418 Å). Structure: a GGA+U-relaxed structure.
Neutral-atom scattering factors, no anomalous dispersion.

Largest 8 diffraction maxima, by intensity, 15 to 90 degrees two-theta:
| 2theta | d_spacing | I (rel.) |
| --- | --- | --- |
| 31.32 | 2.856 | 100 |
| 46.82 | 1.940 | 38 |
| 32.57 | 2.750 | 36 |
| 32.70 | 2.739 | 36 |
| 57.33 | 1.607 | 18 |
| 57.50 | 1.603 | 18 |
| 65.33 | 1.428 | 17 |
| 42.66 | 2.120 | 16 |

Crystal structure
```
data_Sr2La2CrNiO8
_chemical_formula_sum 'Sr2 La2 Cr1 Ni1 O8'
_symmetry_space_group_name_H-M 'P 1'
_symmetry_Int_Tables_number 1
_symmetry_space_group_name_Hall 'P 1'
_cell_length_a 5.499
_cell_length_b 6.893
_cell_length_c 6.893
_cell_angle_alpha 46.82
_cell_angle_beta 90.00
_cell_angle_gamma 90.00
loop_
_atom_site_label
_atom_site_fract_x
_atom_site_fract_y
_atom_site_fract_z
Sr1 0.000 0.000 0.000
Sr2 0.500 0.212 0.212
La1 0.000 0.716 0.716
La2 0.500 0.495 0.495
Cr1 0.000 0.355 0.355
Ni1 0.500 0.858 0.858
O1 0.000 0.195 0.195
O2 0.000 0.527 0.527
O3 0.252 0.101 0.609
O4 0.252 0.609 0.101
O5 0.500 0.020 0.020
O6 0.500 0.678 0.678
O7 0.748 0.101 0.609
O8 0.748 0.609 0.101
```

***

This entry pairs a crystal structure of CoPHO5 with its theoretical powder diffraction line list. Radiation: Cu Kα (λ = 1.5418 Å). Structure: a GGA+U-relaxed structure.
Neutral-atom scattering factors, no anomalous dispersion.

Largest 8 diffraction maxima, by intensity, 15 to 90 degrees two-theta:
| 2theta | d_spacing | I (rel.) |
| --- | --- | --- |
| 27.37 | 3.259 | 100 |
| 18.26 | 4.858 | 57 |
| 30.09 | 2.970 | 47 |
| 19.13 | 4.640 | 40 |
| 18.88 | 4.699 | 25 |
| 22.54 | 3.944 | 23 |
| 18.43 | 4.814 | 21 |
| 36.71 | 2.448 | 20 |

Crystal structure
```
data_CoPHO5
_chemical_formula_sum 'Co4 P4 H4 O20'
_symmetry_space_group_name_H-M 'P 1'
_symmetry_Int_Tables_number 1
_symmetry_space_group_name_Hall 'P 1'
_cell_length_a 5.300
_cell_length_b 7.151
_cell_length_c 10.017
_cell_angle_alpha 104.81
_cell_angle_beta 97.82
_cell_angle_gamma 109.22
loop_
_atom_site_label
_atom_site_fract_x
_atom_site_fract_y
_atom_site_fract_z
Co1 0.000 0.000 0.000
Co2 0.250 0.250 0.749
Co3 0.500 0.500 0.500
Co4 0.750 0.750 0.251
P1 0.134 0.797 0.529
P2 0.367 0.701 0.971
P3 0.633 0.299 0.029
P4 0.866 0.203 0.471
H1 0.071 0.081 0.268
H2 0.430 0.419 0.234
H3 0.570 0.581 0.766
H4 0.929 0.919 0.732
O1 0.015 0.054 0.813
O2 0.056 0.738 0.364
O3 0.116 0.290 0.410
O4 0.146 0.786 0.932
O5 0.234 0.458 0.905
O6 0.269 0.040 0.595
O7 0.363 0.718 0.568
O8 0.383 0.214 0.092
O9 0.445 0.762 0.136
O10 0.491 0.444 0.687
O11 0.509 0.556 0.313
O12 0.555 0.238 0.864
O13 0.617 0.786 0.908
O14 0.637 0.282 0.432
O15 0.731 0.960 0.405
O16 0.766 0.542 0.095
O17 0.854 0.214 0.068
O18 0.884 0.710 0.590
O19 0.944 0.262 0.636
O20 0.985 0.946 0.187
```

***

This entry pairs a crystal structure of Cr3Pb5ClO12 with its theoretical powder diffraction line list. Radiation: Cu Kα (λ = 1.5418 Å). Structure: a GGA+U-relaxed structure.
Neutral-atom scattering factors, no anomalous dispersion.

Largest 8 diffraction maxima, by intensity, 15 to 90 degrees two-theta:
| 2theta | d_spacing | I (rel.) |
| --- | --- | --- |
| 29.69 | 3.009 | 100 |
| 28.85 | 3.095 | 67 |
| 26.12 | 3.412 | 39 |
| 45.49 | 1.994 | 37 |
| 42.49 | 2.127 | 25 |
| 47.24 | 1.924 | 21 |
| 20.88 | 4.255 | 20 |
| 69.91 | 1.346 | 19 |

Crystal structure
```
data_Cr3Pb5ClO12
_chemical_formula_sum 'Cr6 Pb10 Cl2 O24'
_symmetry_space_group_name_H-M 'P 1'
_symmetry_Int_Tables_number 1
_symmetry_space_group_name_Hall 'P 1'
_cell_length_a 10.415
_cell_length_b 10.415
_cell_length_c 7.380
_cell_angle_alpha 90.00
_cell_angle_beta 90.00
_cell_angle_gamma 120.00
loop_
_atom_site_label
_atom_site_fract_x
_atom_site_fract_y
_atom_site_fract_z
Cr1 0.027 0.618 0.250
Cr2 0.382 0.410 0.250
Cr3 0.410 0.027 0.750
Cr4 0.590 0.973 0.250
Cr5 0.618 0.590 0.750
Cr6 0.973 0.382 0.750
Pb1 0.014 0.257 0.250
Pb2 0.243 0.986 0.250
Pb3 0.257 0.243 0.750
Pb4 0.333 0.667 0.507
Pb5 0.333 0.667 0.993
Pb6 0.667 0.333 0.007
Pb7 0.667 0.333 0.493
Pb8 0.743 0.757 0.250
Pb9 0.757 0.014 0.750
Pb10 0.986 0.743 0.750
Cl1 0.000 0.000 0.000
Cl2 0.000 0.000 0.500
O1 0.091 0.732 0.063
O2 0.091 0.732 0.437
O3 0.125 0.521 0.250
O4 0.164 0.489 0.750
O5 0.268 0.359 0.063
O6 0.268 0.359 0.437
O7 0.325 0.836 0.750
O8 0.359 0.091 0.563
O9 0.359 0.091 0.937
O10 0.396 0.875 0.250
O11 0.479 0.604 0.250
O12 0.489 0.325 0.250
O13 0.511 0.675 0.750
O14 0.521 0.396 0.750
O15 0.604 0.125 0.750
O16 0.641 0.909 0.063
O17 0.641 0.909 0.437
O18 0.675 0.164 0.250
O19 0.732 0.641 0.563
O20 0.732 0.641 0.937
O21 0.836 0.511 0.250
O22 0.875 0.479 0.750
O23 0.909 0.268 0.563
O24 0.909 0.268 0.937
```

***

This entry pairs a crystal structure of LiVTeO5 with its theoretical powder diffraction line list. Radiation: Cu Kα (λ = 1.5418 Å). Structure: a GGA+U-relaxed structure.
Neutral-atom scattering factors, no anomalous dispersion.

Largest 8 diffraction maxima, by intensity, 15 to 90 degrees two-theta:
| 2theta | d_spacing | I (rel.) |
| --- | --- | --- |
| 27.27 | 3.271 | 100 |
| 28.65 | 3.116 | 80 |
| 22.01 | 4.039 | 69 |
| 22.90 | 3.883 | 65 |
| 37.23 | 2.415 | 46 |
| 51.25 | 1.782 | 39 |
| 34.38 | 2.608 | 37 |
| 27.09 | 3.292 | 34 |

Crystal structure
```
data_LiVTeO5
_chemical_formula_sum 'Li4 V4 Te4 O20'
_symmetry_space_group_name_H-M 'P 1'
_symmetry_Int_Tables_number 1
_symmetry_space_group_name_Hall 'P 1'
_cell_length_a 5.221
_cell_length_b 8.481
_cell_length_c 9.658
_cell_angle_alpha 90.00
_cell_angle_beta 90.00
_cell_angle_gamma 90.00
loop_
_atom_site_label
_atom_site_fract_x
_atom_site_fract_y
_atom_site_fract_z
Li1 0.037 0.121 0.024
Li2 0.463 0.879 0.524
Li3 0.537 0.379 0.976
Li4 0.963 0.621 0.476
V1 0.043 0.478 0.148
V2 0.457 0.522 0.648
V3 0.543 0.022 0.852
V4 0.957 0.978 0.352
Te1 0.038 0.183 0.647
Te2 0.462 0.817 0.147
Te3 0.538 0.317 0.353
Te4 0.962 0.683 0.853
O1 0.155 0.505 0.312
O2 0.163 0.024 0.530
O3 0.188 0.676 0.081
O4 0.214 0.100 0.809
O5 0.215 0.324 0.089
O6 0.285 0.676 0.589
O7 0.286 0.900 0.309
O8 0.312 0.324 0.581
O9 0.337 0.976 0.030
O10 0.345 0.495 0.812
O11 0.655 0.995 0.688
O12 0.663 0.476 0.470
O13 0.688 0.824 0.919
O14 0.714 0.400 0.191
O15 0.715 0.176 0.911
O16 0.785 0.824 0.411
O17 0.786 0.600 0.691
O18 0.812 0.176 0.419
O19 0.837 0.524 0.970
O20 0.845 0.005 0.188
```

***

This entry pairs a crystal structure of Li3Cr2P3O12 with its theoretical powder diffraction line list. Radiation: Cu Kα (λ = 1.5418 Å). Structure: a GGA+U-relaxed structure.
Neutral-atom scattering factors, no anomalous dispersion.

Largest 8 diffraction maxima, by intensity, 15 to 90 degrees two-theta:
| 2theta | d_spacing | I (rel.) |
| --- | --- | --- |
| 24.35 | 3.656 | 100 |
| 20.01 | 4.438 | 72 |
| 32.08 | 2.790 | 69 |
| 29.31 | 3.047 | 50 |
| 37.16 | 2.420 | 19 |
| 52.71 | 1.737 | 19 |
| 32.89 | 2.723 | 18 |
| 49.89 | 1.828 | 17 |

Crystal structure
```
data_Li3Cr2P3O12
_chemical_formula_sum 'Li6 Cr4 P6 O24'
_symmetry_space_group_name_H-M 'P 1'
_symmetry_Int_Tables_number 1
_symmetry_space_group_name_Hall 'P 1'
_cell_length_a 8.906
_cell_length_b 8.906
_cell_length_c 8.906
_cell_angle_alpha 56.14
_cell_angle_beta 56.14
_cell_angle_gamma 56.14
loop_
_atom_site_label
_atom_site_fract_x
_atom_site_fract_y
_atom_site_fract_z
Li1 0.168 0.420 0.764
Li2 0.236 0.832 0.580
Li3 0.420 0.764 0.168
Li4 0.580 0.236 0.832
Li5 0.764 0.168 0.420
Li6 0.832 0.580 0.236
Cr1 0.151 0.151 0.151
Cr2 0.355 0.355 0.355
Cr3 0.645 0.645 0.645
Cr4 0.849 0.849 0.849
P1 0.038 0.750 0.461
P2 0.250 0.539 0.962
P3 0.461 0.038 0.750
P4 0.539 0.962 0.250
P5 0.750 0.461 0.038
P6 0.962 0.250 0.539
O1 0.007 0.967 0.330
O2 0.033 0.670 0.993
O3 0.037 0.712 0.658
O4 0.116 0.304 0.504
O5 0.245 0.621 0.369
O6 0.288 0.342 0.963
O7 0.304 0.504 0.116
O8 0.330 0.007 0.967
O9 0.342 0.963 0.288
O10 0.369 0.245 0.621
O11 0.379 0.631 0.755
O12 0.496 0.884 0.696
O13 0.504 0.116 0.304
O14 0.621 0.369 0.245
O15 0.631 0.755 0.379
O16 0.658 0.037 0.712
O17 0.670 0.993 0.033
O18 0.696 0.496 0.884
O19 0.712 0.658 0.037
O20 0.755 0.379 0.631
O21 0.884 0.696 0.496
O22 0.963 0.288 0.342
O23 0.967 0.330 0.007
O24 0.993 0.033 0.670
```

***

This entry pairs a crystal structure of Li9Mn2Co5O16 with its theoretical powder diffraction line list. Radiation: Cu Kα (λ = 1.5418 Å). Structure: a GGA+U-relaxed structure.
Neutral-atom scattering factors, no anomalous dispersion.

Largest 8 diffraction maxima, by intensity, 15 to 90 degrees two-theta:
| 2theta | d_spacing | I (rel.) |
| --- | --- | --- |
| 18.37 | 4.829 | 100 |
| 42.01 | 2.151 | 32 |
| 44.01 | 2.058 | 27 |
| 44.57 | 2.033 | 25 |
| 34.96 | 2.567 | 18 |
| 36.24 | 2.479 | 13 |
| 36.54 | 2.459 | 12 |
| 62.64 | 1.483 | 8 |

Crystal structure
```
data_Li9Mn2Co5O16
_chemical_formula_sum 'Li9 Mn2 Co5 O16'
_symmetry_space_group_name_H-M 'P 1'
_symmetry_Int_Tables_number 1
_symmetry_space_group_name_Hall 'P 1'
_cell_length_a 2.969
_cell_length_b 7.793
_cell_length_c 12.583
_cell_angle_alpha 88.90
_cell_angle_beta 89.69
_cell_angle_gamma 81.56
loop_
_atom_site_label
_atom_site_fract_x
_atom_site_fract_y
_atom_site_fract_z
Li1 0.000 0.000 0.000
Li2 0.050 0.883 0.682
Li3 0.128 0.749 0.376
Li4 0.238 0.505 0.743
Li5 0.381 0.250 0.123
Li6 0.511 0.996 0.508
Li7 0.642 0.746 0.869
Li8 0.753 0.499 0.249
Li9 0.893 0.237 0.623
Mn1 0.453 0.117 0.808
Mn2 0.944 0.125 0.312
Co1 0.188 0.624 0.057
Co2 0.312 0.377 0.441
Co3 0.574 0.871 0.187
Co4 0.687 0.635 0.567
Co5 0.827 0.371 0.936
O1 0.018 0.959 0.839
O2 0.077 0.796 0.533
O3 0.161 0.692 0.209
O4 0.193 0.551 0.907
O5 0.306 0.314 0.288
O6 0.322 0.445 0.585
O7 0.447 0.196 0.959
O8 0.466 0.071 0.667
O9 0.578 0.939 0.336
O10 0.601 0.803 0.035
O11 0.668 0.674 0.703
O12 0.732 0.558 0.420
O13 0.774 0.444 0.080
O14 0.883 0.290 0.791
O15 0.898 0.193 0.462
O16 0.987 0.055 0.162
```